# AgH
Calculated XRD peak list, Cu Kα, 1.54184 Å. Input: a cell relaxed with PBE.
No peak broadening, texture or thermal motion is included.

Largest 8 diffraction maxima, in order of rising 2θ, 10 to 80 degrees two-theta:
2θ 15.53, rel. 39, hkl 1 1 0; 2θ 22.03, rel. 14, hkl 2 0 0; 2θ 35.17, rel. 42, hkl 1 3 0; 2θ 37.05, rel. 100, hkl 2 1 1; 2θ 44.93, rel. 9, hkl 4 0 0; 2θ 50.59, rel. 13, hkl 4 2 0; 2θ 64.34, rel. 21, hkl 3 4 1; 2θ 67.99, rel. 11, hkl 1 3 2

Structure:
Cell: 8.0694 8.0694 3.2774 Å, 90.00 90.00 90.00°
Space group I4/m (No. 87)
Symmetry-distinct sites (fractional):
Ag  0.1200  0.3219  0.0000 (multiplicity 8)
H  0.1055  0.7456  0.0000 (multiplicity 8)

***

# AgH
Calculated XRD peak list, Cu Kα, 1.54184 Å. Input: a cell relaxed with PBE.
No peak broadening, texture or thermal motion is included.

Largest 8 diffraction maxima, in order of rising 2θ, 10 to 80 degrees two-theta:
2θ 32.65, rel. 51, hkl 2 0 0; 2θ 36.64, rel. 100, hkl 1 1 1; 2θ 46.84, rel. 13, hkl 2 2 0; 2θ 55.57, rel. 5, hkl 2 2 1; 2θ 58.28, rel. 23, hkl 0 0 2; 2θ 60.89, rel. 8, hkl 3 1 1; 2θ 68.42, rel. 19, hkl 2 0 2; 2θ 70.83, rel. 19, hkl 4 1 0

Structure:
Cell: 5.4867 5.4867 3.1649 Å, 90.00 90.00 90.00°
Space group P4_2/mnm (No. 136)
Symmetry-distinct sites (fractional):
Ag  0.1906  0.1906  0.0000 (multiplicity 4)
H  0.1759  0.8241  0.0000 (multiplicity 4)

***

# Ag2HgH2
Calculated XRD peak list, Cu Kα, 1.54184 Å. Input: a cell relaxed with PBE.
No peak broadening, texture or thermal motion is included.

Largest 8 diffraction maxima, in order of rising 2θ, 10 to 80 degrees two-theta:
2θ 18.20, rel. 36, hkl 1 1 0; 2θ 25.85, rel. 33, hkl 2 0 0; 2θ 28.96, rel. 63, hkl 2 1 0; 2θ 36.20, rel. 100, hkl 1 1 1; 2θ 40.81, rel. 53, hkl 2 0 1; 2θ 41.41, rel. 89, hkl 3 1 0; 2θ 42.95, rel. 44, hkl 2 1 1; 2θ 62.82, rel. 39, hkl 4 0 1

Structure:
Cell: 6.8945 6.8945 2.8823 Å, 90.00 90.00 90.00°
Space group P4/mbm (No. 127)
Symmetry-distinct sites (fractional):
Ag  0.1417  0.3583  0.0000 (multiplicity 4)
Hg  0.0000  0.0000  0.5000 (multiplicity 2)
H  0.1192  0.6192  0.5000 (multiplicity 4)

***

# AgHgH2
Calculated XRD peak list, Cu Kα, 1.54184 Å. Input: a cell relaxed with PBE.
No peak broadening, texture or thermal motion is included.

Largest 8 diffraction maxima, in order of rising 2θ, 10 to 80 degrees two-theta:
2θ 10.63, rel. 48, hkl 0 0 1; 2θ 27.22, rel. 100, hkl 0 1 2; 2θ 33.76, rel. 34, hkl 0 2 0; 2θ 36.31, rel. 56, hkl 1 1 0; 2θ 36.54, rel. 15, hkl 0 1 3; 2θ 38.79, rel. 39, hkl 1 0 -2; 2θ 52.35, rel. 33, hkl 1 2 -2; 2θ 56.49, rel. 13, hkl 0 3 2

Structure:
Cell: 2.7965 5.3106 8.3238 Å, 90.00 90.13 90.00°
Space group P2_1/m (No. 11)
Symmetry-distinct sites (fractional):
Ag  0.2469  0.2500  0.1505 (multiplicity 2)
Hg  0.2414  0.2500  0.5892 (multiplicity 2)
H  0.2533  0.5285  0.8437 (multiplicity 4)

***

# AgHg6H2
Calculated XRD peak list, Cu Kα, 1.54184 Å. Input: a cell relaxed with PBE.
No peak broadening, texture or thermal motion is included.

Largest 8 diffraction maxima, in order of rising 2θ, 10 to 80 degrees two-theta:
2θ 26.14, rel. 77, hkl 1 3 0; 2θ 26.52, rel. 51, hkl 3 1 0; 2θ 29.94, rel. 100, hkl 0 2 2; 2θ 35.38, rel. 40, hkl 3 1 -2; 2θ 35.98, rel. 44, hkl 1 3 -2; 2θ 36.81, rel. 51, hkl 1 3 2; 2θ 37.40, rel. 55, hkl 2 4 0; 2θ 37.82, rel. 99, hkl 4 2 0

Structure:
Cell: 10.6349 10.7889 7.1833 Å, 90.00 93.93 90.00°
Space group C2/c (No. 15)
Symmetry-distinct sites (fractional):
Ag  0.0000  0.1784  0.2500 (multiplicity 4)
Hg  0.0288  0.3626  0.9677 (multiplicity 8)
Hg  0.1297  0.0062  0.0041 (multiplicity 8)
Hg  0.2333  0.2386  0.7225 (multiplicity 8)
H  0.2070  0.4773  0.9862 (multiplicity 8)

***

# AgHg3H2
Calculated XRD peak list, Cu Kα, 1.54184 Å. Input: a cell relaxed with PBE.
No peak broadening, texture or thermal motion is included.

Largest 8 diffraction maxima, in order of rising 2θ, 10 to 80 degrees two-theta:
2θ 25.28, rel. 43, hkl 1 0 1; 2θ 25.44, rel. 43, hkl 1 0 -2; 2θ 27.03, rel. 30, hkl 0 0 2; 2θ 30.64, rel. 77, hkl 2 0 -1; 2θ 32.38, rel. 100, hkl 0 1 1; 2θ 33.90, rel. 23, hkl 1 1 -1; 2θ 45.12, rel. 41, hkl 2 1 0; 2θ 45.25, rel. 40, hkl 2 1 -2

Structure:
Cell: 5.8350 3.0449 7.1958 Å, 90.00 113.54 90.00°
Space group P2/m (No. 10)
Symmetry-distinct sites (fractional):
Ag  0.0000  0.0000  0.0000 (multiplicity 1)
Hg  0.1961  0.5000  0.3902 (multiplicity 2)
Hg  0.5000  0.0000  0.0000 (multiplicity 1)
H  0.3703  0.0000  0.7433 (multiplicity 2)

***

# AgHg2H6Ir
Calculated XRD peak list, Cu Kα, 1.54184 Å. Input: a cell relaxed with PBE.
No peak broadening, texture or thermal motion is included.

Largest 8 diffraction maxima, in order of rising 2θ, 10 to 80 degrees two-theta:
2θ 26.83, rel. 100, hkl 0 1 1; 2θ 38.05, rel. 79, hkl 1 1 0; 2θ 38.57, rel. 80, hkl 1 0 2; 2θ 47.17, rel. 23, hkl 2 0 1; 2θ 55.30, rel. 28, hkl 0 2 2; 2θ 62.14, rel. 20, hkl 1 2 1; 2θ 68.74, rel. 14, hkl 3 0 0; 2θ 69.09, rel. 29, hkl 2 1 2

Structure:
Cell: 4.7302 4.7302 5.6803 Å, 90.00 90.00 120.00°
Space group P-3m1 (No. 164)
Symmetry-distinct sites (fractional):
Ag  0.0000  0.0000  0.0000 (multiplicity 1)
Hg  0.3333  0.6667  0.7988 (multiplicity 2)
H  0.1789  0.3578  0.3571 (multiplicity 6)
Ir  0.0000  0.0000  0.5000 (multiplicity 1)

***

# Ag3HI4
Calculated XRD peak list, Cu Kα, 1.54184 Å. Input: a cell relaxed with PBE.
No peak broadening, texture or thermal motion is included.

Largest 8 diffraction maxima, in order of rising 2θ, 10 to 80 degrees two-theta:
2θ 23.52, rel. 100, hkl 1 0 4; 2θ 24.76, rel. 21, hkl 0 0 12; 2θ 34.99, rel. 17, hkl 1 0 13; 2θ 38.61, rel. 52, hkl 1 1 0; 2θ 40.21, rel. 30, hkl 1 0 16; 2θ 45.71, rel. 16, hkl 0 2 4; 2θ 46.41, rel. 22, hkl 1 1 12; 2θ 61.33, rel. 13, hkl 2 1 4

Structure:
Cell: 4.6637 4.6637 43.1500 Å, 90.00 90.00 120.00°
Space group R3m (No. 160, hexagonal axes)
Symmetry-distinct sites (fractional):
Ag  0.0000  0.0000  0.0000 (multiplicity 3)
Ag  0.0000  0.0000  0.2434 (multiplicity 3)
Ag  0.0000  0.0000  0.4864 (multiplicity 3)
H  0.0000  0.0000  0.7561 (multiplicity 3)
I  0.0000  0.0000  0.0637 (multiplicity 3)
I  0.0000  0.0000  0.3074 (multiplicity 3)
I  0.0000  0.0000  0.5507 (multiplicity 3)
I  0.0000  0.0000  0.7963 (multiplicity 3)

***

# AgHI
Calculated XRD peak list, Cu Kα, 1.54184 Å. Input: a cell relaxed with PBE.
No peak broadening, texture or thermal motion is included.

Largest 8 diffraction maxima, in order of rising 2θ, 10 to 80 degrees two-theta:
2θ 22.71, rel. 41, hkl 1 0 0; 2θ 23.31, rel. 51, hkl 1 1 0; 2θ 23.46, rel. 100, hkl 0 1 1; 2θ 33.60, rel. 39, hkl 1 1 -2; 2θ 34.08, rel. 40, hkl 0 1 3; 2θ 34.21, rel. 40, hkl 1 0 3; 2θ 39.55, rel. 94, hkl 1 -1 0; 2θ 39.63, rel. 36, hkl 2 1 1

Structure:
Cell: 4.5494 4.5526 9.7735 Å, 77.55 77.78 60.16°
Space group P-1 (No. 2)
Symmetry-distinct sites (fractional):
Ag  0.1394  0.1374  0.0879 (multiplicity 2)
H  0.0227  0.0189  0.5311 (multiplicity 2)
I  0.2340  0.2373  0.7815 (multiplicity 2)

***

# Ag2HSI
Calculated XRD peak list, Cu Kα, 1.54184 Å. Input: a cell relaxed with PBE.
No peak broadening, texture or thermal motion is included.

Largest 8 diffraction maxima, in order of rising 2θ, 10 to 80 degrees two-theta:
2θ 17.38, rel. 29, hkl 0 0 2; 2θ 18.22, rel. 67, hkl 1 1 0; 2θ 25.28, rel. 26, hkl 1 1 2; 2θ 30.32, rel. 100, hkl 2 1 1; 2θ 31.34, rel. 58, hkl 2 0 2; 2θ 35.18, rel. 39, hkl 0 0 4; 2θ 39.47, rel. 48, hkl 2 1 3; 2θ 45.28, rel. 82, hkl 3 1 2

Structure:
Cell: 6.8862 6.8862 10.2032 Å, 90.00 90.00 90.00°
Space group I4cm (No. 108)
Symmetry-distinct sites (fractional):
Ag  0.1613  0.3387  0.0000 (multiplicity 8)
H  0.0000  0.0000  0.1626 (multiplicity 4)
S  0.0000  0.0000  0.0304 (multiplicity 4)
I  0.0000  0.5000  0.2605 (multiplicity 4)

***

# AgH7Ir2
Calculated XRD peak list, Cu Kα, 1.54184 Å. Input: a cell relaxed with PBE.
No peak broadening, texture or thermal motion is included.

Largest 8 diffraction maxima, in order of rising 2θ, 10 to 80 degrees two-theta:
2θ 21.51, rel. 41, hkl 0 2 0; 2θ 26.37, rel. 34, hkl 0 0 1; 2θ 30.87, rel. 76, hkl 2 0 0; 2θ 32.53, rel. 41, hkl 1 1 1; 2θ 34.28, rel. 100, hkl 0 2 1; 2θ 36.11, rel. 48, hkl 1 3 0; 2θ 46.79, rel. 84, hkl 2 2 1; 2θ 64.84, rel. 30, hkl 1 5 1

Structure:
Cell: 5.7941 8.2617 3.3799 Å, 90.00 90.00 90.00°
Space group Cmmm (No. 65)
Symmetry-distinct sites (fractional):
Ag  0.0000  0.0000  0.0000 (multiplicity 2)
H  0.0000  0.3311  0.0000 (multiplicity 4)
H  0.0000  0.5000  0.5000 (multiplicity 2)
H  0.2217  0.1317  0.5000 (multiplicity 8)
Ir  0.0000  0.2836  0.5000 (multiplicity 4)

***

# K2AgH6Ir
Calculated XRD peak list, Cu Kα, 1.54184 Å. Input: a cell relaxed with PBE.
No peak broadening, texture or thermal motion is included.

Largest 8 diffraction maxima, in order of rising 2θ, 10 to 80 degrees two-theta:
2θ 17.96, rel. 100, hkl 1 0 0; 2θ 31.37, rel. 54, hkl 1 1 0; 2θ 36.39, rel. 17, hkl 2 0 0; 2θ 38.10, rel. 50, hkl 0 1 2; 2θ 46.41, rel. 14, hkl 1 1 2; 2θ 48.79, rel. 15, hkl 2 1 0; 2θ 50.15, rel. 23, hkl 2 0 2; 2θ 60.36, rel. 26, hkl 1 2 2

Structure:
Cell: 5.7023 5.7023 5.3797 Å, 90.00 90.00 120.00°
Space group P-3m1 (No. 164)
Symmetry-distinct sites (fractional):
K  0.3333  0.6667  0.2158 (multiplicity 2)
Ag  0.0000  0.0000  0.5000 (multiplicity 1)
H  0.1436  0.2872  0.8280 (multiplicity 6)
Ir  0.0000  0.0000  0.0000 (multiplicity 1)

***

# PmAgH6Ir
Calculated XRD peak list, Cu Kα, 1.54184 Å. Input: a cell relaxed with PBE.
No peak broadening, texture or thermal motion is included.

Largest 8 diffraction maxima, in order of rising 2θ, 10 to 80 degrees two-theta:
2θ 20.37, rel. 10, hkl 0 0 1; 2θ 29.61, rel. 100, hkl 1 0 1; 2θ 37.26, rel. 58, hkl 1 1 0; 2θ 41.42, rel. 14, hkl 0 0 2; 2θ 48.29, rel. 26, hkl 2 0 1; 2θ 56.93, rel. 34, hkl 1 1 2; 2θ 62.54, rel. 24, hkl 2 1 1; 2θ 67.19, rel. 10, hkl 3 0 0

Structure:
Cell: 4.8264 4.8264 4.3596 Å, 90.00 90.00 120.00°
Space group P-6m2 (No. 187)
Symmetry-distinct sites (fractional):
Pm  0.0000  0.0000  0.0000 (multiplicity 1)
Ag  0.3333  0.6667  0.5000 (multiplicity 1)
H  0.5210  0.0419  0.2224 (multiplicity 6)
Ir  0.6667  0.3333  0.5000 (multiplicity 1)

***

# RbAgH6Ir
Calculated XRD peak list, Cu Kα, 1.54184 Å. Input: a cell relaxed with PBE.
No peak broadening, texture or thermal motion is included.

Largest 8 diffraction maxima, in order of rising 2θ, 10 to 80 degrees two-theta:
2θ 15.89, rel. 53, hkl 0 0 1; 2θ 24.85, rel. 31, hkl 0 1 1; 2θ 26.13, rel. 100, hkl 1 -1 1; 2θ 32.09, rel. 30, hkl 0 0 2; 2θ 34.13, rel. 24, hkl 1 1 0; 2θ 34.26, rel. 24, hkl 1 -2 0; 2θ 37.02, rel. 21, hkl 2 -1 0; 2θ 47.59, rel. 38, hkl 1 1 2

Structure:
Cell: 4.8561 5.2582 5.5791 Å, 90.00 90.01 117.29°
Space group P1 (No. 1)
Symmetry-distinct sites (fractional):
Rb  0.0000  0.0000  0.0000 (multiplicity 1)
Ag  0.6685  0.3315  0.5001 (multiplicity 1)
H  0.0813  0.5215  0.6913 (multiplicity 1)
H  0.0818  0.5198  0.3090 (multiplicity 1)
H  0.4563  0.5342  0.6870 (multiplicity 1)
H  0.4588  0.5360  0.3130 (multiplicity 1)
H  0.4867  0.9762  0.2826 (multiplicity 1)
H  0.4874  0.9763  0.7175 (multiplicity 1)
Ir  0.3558  0.7189  0.5001 (multiplicity 1)